# TbPmY2Sc
Simulated powder X-ray diffraction pattern, a wavelength of 1.5418 Å. Input: a DFT-relaxed cell (GGA-PBE, Alexandria).
Peak positions follow from Bragg's law for the DFT cell and can differ from measured ones.

Main lines, low angle first (2θ from 15° to 90°):
- 4.116 Å, 2θ = 21.6°, rel. 23
- 3.323 Å, 2θ = 26.8°, rel. 100
- 3.013 Å, 2θ = 29.6°, rel. 93
- 2.816 Å, 2θ = 31.8°, rel. 52
- 2.695 Å, 2θ = 33.2°, rel. 89
- 2.467 Å, 2θ = 36.4°, rel. 22
- 1.947 Å, 2θ = 46.6°, rel. 61
- 1.783 Å, 2θ = 51.2°, rel. 24
- 1.661 Å, 2θ = 55.3°, rel. 24
- 1.571 Å, 2θ = 58.8°, rel. 22
- 1.506 Å, 2θ = 61.6°, rel. 25
- 1.389 Å, 2θ = 67.4°, rel. 24

```
TbPmY2Sc
1.0
4.116 -5.632 0.000
4.116 5.632 0.000
0.000 0.000 7.133
Tb Pm Y Sc
2 2 4 2
Direct
0.234 0.766 0.750
0.766 0.234 0.250
0.232 0.768 0.250
0.768 0.232 0.750
0.198 0.198 0.000
0.198 0.198 0.500
0.802 0.802 0.000
0.802 0.802 0.500
0.496 0.504 0.250
0.504 0.496 0.750
```